Computed powder diffractogram of PmMgNi4H6 for Cu Kα (weighted mean of Kα1 and Kα2), from a structure optimized by DFT (PBE).
Neutral-atom scattering factors, no anomalous dispersion.

Cell: 4.3882 4.3882 6.6505 Å, 90.00 90.00 120.00°
Space group P6/mmm (No. 191)
Symmetry-distinct sites (fractional):
1 Pm 0.0000 0.0000 0.0000
2 Mg 0.0000 0.0000 0.5000
3 Ni 0.3333 0.6667 0.3186
4 H 0.0000 0.5000 0.1680

Principal peaks in the range 2θ from 5° to 70°, in order of rising 2θ:
Position (°2θ)	I/Imax
23.41	3
27.02	95
35.88	100
40.70	23
41.14	94
49.92	18
55.72	26
59.25	46
60.81	12
66.61	15

Computed powder diffractogram of Ac7Ge5Sb for Cu Kα (weighted mean of Kα1 and Kα2), from a structure optimized by DFT (PBE).
Neutral-atom scattering factors, no anomalous dispersion.

Cell: 6.7041 12.0387 10.8767 Å, 90.00 90.00 90.00°
Space group Imm2 (No. 44)
Symmetry-distinct sites (fractional):
1 Ac 0.0000 0.0000 0.0000
2 Ac 0.0000 0.0000 0.4018
3 Ac 0.0000 0.2982 0.6988
4 Ac 0.0000 0.3356 0.1089
5 Ac 0.0000 0.5000 0.3696
6 Ge 0.0000 0.5000 0.8801
7 Ge 0.1924 0.2661 0.4217
8 Sb 0.0000 0.0000 0.6990

Principal peaks in the range 2θ from 5° to 70°, in order of rising 2θ:
Position (°2θ)	I/Imax
22.03	47
25.88	86
26.59	78
27.98	100
29.68	29
30.73	57
33.30	34
34.79	96
41.24	31
53.20	27

Computed powder diffractogram of Ac2La5Pm4 for Cu Kα (weighted mean of Kα1 and Kα2), from a structure optimized by DFT (PBE).
Neutral-atom scattering factors, no anomalous dispersion.

Cell: 6.4943 8.3663 8.3987 Å, 107.59 97.01 104.63°
Space group P-1 (No. 2)
Symmetry-distinct sites (fractional):
1 Ac 0.1364 0.0460 0.2302
2 La 0.2285 0.4140 0.0452
3 La 0.4104 0.1399 0.6836
4 La 0.5000 0.5000 0.5000
5 Pm 0.0465 0.6753 0.4087
6 Pm 0.3199 0.7698 0.8611

Principal peaks in the range 2θ from 5° to 70°, in order of rising 2θ:
Position (°2θ)	I/Imax
29.11	100
29.27	33
33.59	23
33.81	23
33.93	22
48.34	17
48.59	16
57.34	10
57.65	15
57.79	15